# 1
Starting from the GGA+U geometry in the Materials Project, the X-ray diffraction stick pattern of Li2Fe2Si4O11 was simulated for Cu Kα (λ = 1.5418 Å).
Intensities are scaled so that the largest is 100.

Crystal structure
Cell lengths 7.047, 7.581, 8.794 Å; angles 99.97, 101.13, 104.42 degrees
Space group P-1 (No. 2)
Inequivalent atoms, fractional coordinates:
1 Li 0.111 0.288 0.197
2 Li 0.360 0.750 0.848
3 Fe 0.128 0.882 0.602
4 Fe 0.383 0.123 0.388
5 Si 0.022 0.724 0.227
6 Si 0.261 0.113 0.966
7 Si 0.268 0.474 0.598
8 Si 0.459 0.726 0.234
9 O 0.084 0.910 0.371
10 O 0.101 0.240 0.938
11 O 0.116 0.458 0.725
12 O 0.177 0.907 0.845
13 O 0.179 0.311 0.435
14 O 0.211 0.654 0.183
15 O 0.316 0.126 0.154
16 O 0.318 0.693 0.594
17 O 0.439 0.086 0.625
18 O 0.476 0.236 0.931
19 O 0.476 0.449 0.709

Main lines, by angle (15 to 90 degrees two-theta):
| h k l | two_theta | intensity |
| --- | --- | --- |
| 1 1 -2 | 24.92 | 22 |
| 1 -2 1 | 25.84 | 18 |
| 1 -1 2 | 26.62 | 15 |
| 0 1 2 | 27.04 | 46 |
| 0 2 1 | 29.38 | 39 |
| 2 -2 0 | 31.03 | 68 |
| 2 1 -1 | 31.54 | 100 |
| -2 1 3 | 38.61 | 21 |
| 0 1 -4 | 41.97 | 19 |
| -4 1 1 | 51.91 | 24 |


# 2
Starting from the GGA+U geometry in the Materials Project, the X-ray diffraction stick pattern of LiFeSiO4 was simulated for Cu Kα (λ = 1.5418 Å).
Intensities are scaled so that the largest is 100.

Crystal structure
Cell lengths 5.276, 11.325, 5.961 Å; angles 90.00, 91.37, 90.00 degrees
Space group P2_1 (No. 4)
Inequivalent atoms, fractional coordinates:
1 Li 0.056 0.000 0.256
2 Li 0.431 0.158 0.721
3 Fe 0.079 0.753 0.505
4 Fe 0.431 0.906 0.988
5 Si 0.071 0.246 0.000
6 Si 0.427 0.413 0.508
7 O 0.002 0.671 0.775
8 O 0.010 0.172 0.765
9 O 0.077 0.875 0.001
10 O 0.117 0.394 0.526
11 O 0.381 0.266 0.991
12 O 0.435 0.781 0.494
13 O 0.460 0.986 0.271
14 O 0.497 0.489 0.282

Main lines, by angle (15 to 90 degrees two-theta):
| h k l | two_theta | intensity |
| --- | --- | --- |
| 0 2 0 | 15.65 | 75 |
| 1 2 0 | 23.04 | 100 |
| 1 1 1 | 24.12 | 15 |
| 0 0 2 | 29.99 | 30 |
| 1 3 -1 | 32.63 | 19 |
| 1 3 1 | 33.01 | 22 |
| 2 0 0 | 34.00 | 79 |
| 1 3 3 | 55.44 | 12 |
| 0 6 2 | 57.83 | 20 |
| 3 3 -1 | 59.74 | 12 |